Al2FeO4: simulated powder XRD pattern (a wavelength of 1.5418 Å), based on a PBE+U-relaxed structure.

Atomic structure:
a = 8.1774 Å, b = 8.1853 Å, c = 8.3788 Å
α = 90.00°, β = 90.00°, γ = 90.00°
Space group Fddd (No. 70, origin choice 2)
Unique sites:
Al 0.0000 0.0000 0.0000 [16 per cell]
Fe 0.1250 0.1250 0.6250 [8 per cell]
O 0.0143 0.0145 0.2319 [32 per cell]

Principal peaks in the range 2θ = 10–90°, most intense first:
36.3°, rel. 1000
30.5°, rel. 706
63.6°, rel. 507
35.7°, rel. 479
58.6°, rel. 387
30.9°, rel. 335
64.4°, rel. 248
57.2°, rel. 219
54.8°, rel. 206
54.1°, rel. 109